1.
# PrNdTl2
Simulated powder diffractogram, Cu Kα (λ = 1.5418 Å). Input: a structure optimized by DFT (GGA-PBE).

abc: 7.857 7.857 7.857
angles: 90.00 90.00 90.00
Fractional coordinates of all 16 atoms:
Pr (0.000, 0.000, 0.000)
Pr (0.000, 0.500, 0.500)
Pr (0.500, 0.000, 0.500)
Pr (0.500, 0.500, 0.000)
Nd (0.000, 0.000, 0.500)
Nd (0.000, 0.500, 0.000)
Nd (0.500, 0.000, 0.000)
Nd (0.500, 0.500, 0.500)
Tl (0.250, 0.250, 0.250)
Tl (0.250, 0.250, 0.750)
Tl (0.250, 0.750, 0.250)
Tl (0.250, 0.750, 0.750)
Tl (0.750, 0.250, 0.250)
Tl (0.750, 0.250, 0.750)
Tl (0.750, 0.750, 0.250)
Tl (0.750, 0.750, 0.750)

Top 9 peaks for 10 to 80 degrees two-theta, by angle:
2θ 22.64, d 3.928, I 3.1
2θ 32.23, d 2.778, I 100.0
2θ 39.74, d 2.268, I 1.0
2θ 46.22, d 1.964, I 18.6
2θ 52.06, d 1.757, I 1.5
2θ 57.46, d 1.604, I 39.1
2θ 67.43, d 1.389, I 12.1
2θ 72.14, d 1.309, I 0.8
2θ 76.72, d 1.242, I 16.9


2.
# NdPt2
Simulated powder diffractogram, Cu Kα (λ = 1.5418 Å). Input: a structure optimized by DFT (GGA-PBE).

abc: 5.524 5.524 5.524
angles: 60.00 60.00 60.00
Fractional coordinates of all 6 atoms:
Nd (0.125, 0.125, 0.125)
Nd (0.875, 0.875, 0.875)
Pt (0.000, 0.500, 0.500)
Pt (0.500, 0.000, 0.500)
Pt (0.500, 0.500, 0.000)
Pt (0.500, 0.500, 0.500)

Top 10 peaks for 10 to 80 degrees two-theta, by angle:
2θ 19.68, d 4.511, I 15.9
2θ 32.41, d 2.762, I 18.9
2θ 38.21, d 2.356, I 100.0
2θ 39.98, d 2.255, I 50.2
2θ 46.50, d 1.953, I 9.6
2θ 50.95, d 1.792, I 4.2
2θ 57.82, d 1.595, I 7.2
2θ 61.69, d 1.504, I 33.3
2θ 67.86, d 1.381, I 30.4
2θ 71.43, d 1.321, I 3.2


3.
# NdPt3
Simulated powder diffractogram, Cu Kα (λ = 1.5418 Å). Input: a structure optimized by DFT (GGA-PBE).

abc: 4.208 4.208 4.208
angles: 90.00 90.00 90.00
Fractional coordinates of all 4 atoms:
Nd (0.000, 0.000, 0.000)
Pt (0.000, 0.500, 0.500)
Pt (0.500, 0.000, 0.500)
Pt (0.500, 0.500, 0.000)

Top 8 peaks for 10 to 80 degrees two-theta, by angle:
2θ 21.11, d 4.208, I 1.2
2θ 30.03, d 2.976, I 1.1
2θ 37.00, d 2.430, I 100.0
2θ 42.99, d 2.104, I 49.6
2θ 48.36, d 1.882, I 0.6
2θ 62.42, d 1.488, I 33.2
2θ 74.83, d 1.269, I 39.3
2θ 78.78, d 1.215, I 11.5


4.
# Nd3Sb4Pt7
Simulated powder diffractogram, Cu Kα (λ = 1.5418 Å). Input: a structure optimized by DFT (GGA-PBE).

abc: 8.648 8.648 10.543
angles: 127.32 127.32 29.04
Fractional coordinates of all 14 atoms:
Nd (0.000, 0.000, 0.000)
Nd (0.328, 0.328, 0.316)
Nd (0.672, 0.672, 0.684)
Sb (0.139, 0.139, 0.408)
Sb (0.328, 0.328, 0.975)
Sb (0.672, 0.672, 0.025)
Sb (0.861, 0.861, 0.592)
Pt (0.000, 0.000, 0.500)
Pt (0.123, 0.123, 0.846)
Pt (0.330, 0.330, 0.728)
Pt (0.484, 0.484, 0.678)
Pt (0.516, 0.516, 0.322)
Pt (0.670, 0.670, 0.272)
Pt (0.877, 0.877, 0.154)

Top 10 peaks for 10 to 80 degrees two-theta, by angle:
2θ 32.82, d 2.729, I 15.8
2θ 33.78, d 2.653, I 100.0
2θ 35.65, d 2.519, I 24.0
2θ 40.32, d 2.237, I 13.8
2θ 40.63, d 2.221, I 25.1
2θ 41.50, d 2.176, I 19.7
2θ 41.66, d 2.168, I 36.6
2θ 43.13, d 2.097, I 20.2
2θ 43.47, d 2.082, I 13.7
2θ 60.26, d 1.536, I 13.1


5.
# NdSiPt
Simulated powder diffractogram, Cu Kα (λ = 1.5418 Å). Input: a structure optimized by DFT (GGA-PBE).

abc: 4.222 4.222 14.495
angles: 90.00 90.00 90.00
Fractional coordinates of all 12 atoms:
Nd (0.000, 0.000, 0.000)
Nd (0.000, 0.500, 0.250)
Nd (0.500, 0.000, 0.750)
Nd (0.500, 0.500, 0.500)
Si (0.000, 0.000, 0.420)
Si (0.000, 0.500, 0.670)
Si (0.500, 0.000, 0.170)
Si (0.500, 0.500, 0.920)
Pt (0.000, 0.000, 0.587)
Pt (0.000, 0.500, 0.837)
Pt (0.500, 0.000, 0.337)
Pt (0.500, 0.500, 0.087)

Top 10 peaks for 10 to 80 degrees two-theta, by angle:
2θ 21.93, d 4.053, I 14.7
2θ 28.07, d 3.179, I 44.3
2θ 32.44, d 2.760, I 100.0
2θ 37.64, d 2.390, I 49.3
2θ 42.84, d 2.111, I 37.5
2θ 49.00, d 1.859, I 21.9
2θ 52.00, d 1.759, I 16.5
2θ 58.32, d 1.582, I 27.8
2θ 67.09, d 1.395, I 17.2
2θ 71.91, d 1.313, I 20.4


6.
# NdPu3
Simulated powder diffractogram, Cu Kα (λ = 1.5418 Å). Input: a structure optimized by DFT (GGA-PBE).

abc: 6.826 5.393 6.913
angles: 90.00 119.55 90.00
Fractional coordinates of all 8 atoms:
Nd (0.000, 0.000, 0.000)
Nd (0.321, 0.500, 0.625)
Pu (0.352, 0.500, 0.152)
Pu (0.489, 0.000, 0.981)
Pu (0.515, 0.000, 0.464)
Pu (0.787, 0.500, 0.142)
Pu (0.830, 0.500, 0.647)
Pu (0.969, 0.000, 0.489)

Top 10 peaks for 10 to 80 degrees two-theta, by angle:
2θ 29.71, d 3.007, I 14.3
2θ 30.11, d 2.968, I 21.9
2θ 33.22, d 2.696, I 39.3
2θ 34.14, d 2.626, I 51.8
2θ 34.49, d 2.600, I 100.0
2θ 45.44, d 1.996, I 14.5
2θ 52.98, d 1.729, I 19.2
2θ 60.18, d 1.538, I 20.8
2θ 63.98, d 1.455, I 21.8
2θ 65.20, d 1.431, I 11.8


7.
# NdPu3
Simulated powder diffractogram, Cu Kα (λ = 1.5418 Å). Input: a structure optimized by DFT (GGA-PBE).

abc: 4.865 4.865 9.894
angles: 90.00 90.00 90.00
Fractional coordinates of all 8 atoms:
Nd (0.000, 0.000, 0.000)
Nd (0.500, 0.500, 0.500)
Pu (0.000, 0.000, 0.500)
Pu (0.000, 0.500, 0.250)
Pu (0.000, 0.500, 0.750)
Pu (0.500, 0.000, 0.250)
Pu (0.500, 0.000, 0.750)
Pu (0.500, 0.500, 0.000)

Top 10 peaks for 10 to 80 degrees two-theta, by angle:
2θ 20.34, d 4.366, I 3.1
2θ 31.68, d 2.824, I 100.0
2θ 36.32, d 2.474, I 17.5
2θ 36.96, d 2.432, I 33.4
2θ 52.78, d 1.734, I 24.6
2θ 53.26, d 1.720, I 12.0
2θ 62.45, d 1.487, I 14.9
2θ 63.31, d 1.469, I 28.7
2θ 66.18, d 1.412, I 12.6
2θ 78.67, d 1.216, I 3.9


8.
# Rb3Nd
Simulated powder diffractogram, Cu Kα (λ = 1.5418 Å). Input: a structure optimized by DFT (GGA-PBE).

abc: 10.334 10.334 10.334
angles: 90.00 90.00 90.00
Fractional coordinates of all 16 atoms:
Rb (0.000, 0.000, 0.000)
Rb (0.000, 0.500, 0.500)
Rb (0.250, 0.250, 0.250)
Rb (0.250, 0.250, 0.750)
Rb (0.250, 0.750, 0.250)
Rb (0.250, 0.750, 0.750)
Rb (0.500, 0.000, 0.500)
Rb (0.500, 0.500, 0.000)
Rb (0.750, 0.250, 0.250)
Rb (0.750, 0.250, 0.750)
Rb (0.750, 0.750, 0.250)
Rb (0.750, 0.750, 0.750)
Nd (0.000, 0.000, 0.500)
Nd (0.000, 0.500, 0.000)
Nd (0.500, 0.000, 0.000)
Nd (0.500, 0.500, 0.500)

Top 10 peaks for 10 to 80 degrees two-theta, by angle:
2θ 14.85, d 5.967, I 4.2
2θ 24.36, d 3.654, I 100.0
2θ 28.65, d 3.116, I 2.6
2θ 34.72, d 2.584, I 19.8
2θ 42.87, d 2.109, I 43.6
2θ 49.92, d 1.827, I 13.9
2θ 56.30, d 1.634, I 19.3
2θ 62.24, d 1.492, I 4.8
2θ 67.87, d 1.381, I 22.0
2θ 78.54, d 1.218, I 11.0


9.
# Rb3Nd
Simulated powder diffractogram, Cu Kα (λ = 1.5418 Å). Input: a structure optimized by DFT (GGA-PBE).

abc: 6.149 6.149 13.996
angles: 90.00 90.00 90.00
Fractional coordinates of all 8 atoms:
Rb (0.000, 0.000, 0.000)
Rb (0.000, 0.500, 0.250)
Rb (0.000, 0.500, 0.750)
Rb (0.500, 0.000, 0.250)
Rb (0.500, 0.000, 0.750)
Rb (0.500, 0.500, 0.500)
Nd (0.000, 0.000, 0.500)
Nd (0.500, 0.500, 0.000)

Top 10 peaks for 10 to 80 degrees two-theta, by angle:
2θ 24.10, d 3.693, I 100.0
2θ 25.46, d 3.499, I 21.8
2θ 29.05, d 3.074, I 31.1
2θ 39.00, d 2.309, I 27.8
2θ 41.54, d 2.174, I 11.6
2θ 44.06, d 2.055, I 19.6
2θ 48.60, d 1.873, I 29.6
2θ 49.35, d 1.847, I 14.0
2θ 62.15, d 1.494, I 14.0
2θ 74.09, d 1.280, I 8.3


10.
# RbNdS2
Simulated powder diffractogram, Cu Kα (λ = 1.5418 Å). Input: a structure optimized by DFT (GGA-PBE).

abc: 4.228 4.228 23.140
angles: 90.00 90.00 120.00
Fractional coordinates of all 12 atoms:
Rb (0.000, 0.000, 0.000)
Rb (0.333, 0.667, 0.667)
Rb (0.667, 0.333, 0.333)
Nd (0.000, 0.000, 0.500)
Nd (0.333, 0.667, 0.167)
Nd (0.667, 0.333, 0.833)
S (0.000, 0.000, 0.232)
S (0.000, 0.000, 0.768)
S (0.333, 0.667, 0.434)
S (0.333, 0.667, 0.899)
S (0.667, 0.333, 0.101)
S (0.667, 0.333, 0.566)

Top 10 peaks for 10 to 80 degrees two-theta, by angle:
2θ 11.47, d 7.713, I 21.8
2θ 23.06, d 3.857, I 21.0
2θ 25.52, d 3.491, I 42.5
2θ 28.86, d 3.094, I 100.0
2θ 39.71, d 2.270, I 36.3
2θ 42.77, d 2.114, I 34.5
2θ 49.15, d 1.854, I 17.5
2θ 52.42, d 1.745, I 17.9
2θ 65.52, d 1.425, I 13.4
2θ 69.90, d 1.346, I 19.4


11.
# RbNdSe2
Simulated powder diffractogram, Cu Kα (λ = 1.5418 Å). Input: a structure optimized by DFT (GGA-PBE).

abc: 4.384 4.384 24.080
angles: 90.00 90.00 120.00
Fractional coordinates of all 12 atoms:
Rb (0.000, 0.000, 0.000)
Rb (0.333, 0.667, 0.667)
Rb (0.667, 0.333, 0.333)
Nd (0.000, 0.000, 0.500)
Nd (0.333, 0.667, 0.167)
Nd (0.667, 0.333, 0.833)
Se (0.000, 0.000, 0.234)
Se (0.000, 0.000, 0.766)
Se (0.333, 0.667, 0.433)
Se (0.333, 0.667, 0.900)
Se (0.667, 0.333, 0.100)
Se (0.667, 0.333, 0.567)

Top 10 peaks for 10 to 80 degrees two-theta, by angle:
2θ 11.02, d 8.027, I 22.0
2θ 27.78, d 3.211, I 100.0
2θ 35.21, d 2.549, I 9.9
2θ 38.16, d 2.359, I 34.4
2θ 41.18, d 2.192, I 36.6
2θ 50.41, d 1.810, I 18.9
2θ 57.39, d 1.606, I 11.8
2θ 62.78, d 1.480, I 11.0
2θ 67.05, d 1.396, I 15.9
2θ 73.05, d 1.295, I 14.2


12.
# RbNdTe4
Simulated powder diffractogram, Cu Kα (λ = 1.5418 Å). Input: a structure optimized by DFT (GGA-PBE).

abc: 6.968 6.968 9.329
angles: 90.00 90.00 90.00
Fractional coordinates of all 12 atoms:
Rb (0.250, 0.250, 0.000)
Rb (0.750, 0.750, 0.000)
Nd (0.250, 0.250, 0.500)
Nd (0.750, 0.750, 0.500)
Te (0.106, 0.606, 0.295)
Te (0.106, 0.894, 0.705)
Te (0.394, 0.606, 0.705)
Te (0.394, 0.894, 0.295)
Te (0.606, 0.106, 0.705)
Te (0.606, 0.394, 0.295)
Te (0.894, 0.106, 0.295)
Te (0.894, 0.394, 0.705)

Top 10 peaks for 10 to 80 degrees two-theta, by angle:
2θ 26.31, d 3.387, I 83.1
2θ 30.24, d 2.956, I 100.0
2θ 32.07, d 2.791, I 35.1
2θ 34.62, d 2.591, I 21.7
2θ 40.97, d 2.203, I 63.4
2θ 48.78, d 1.867, I 30.7
2θ 56.38, d 1.632, I 23.4
2θ 57.55, d 1.602, I 15.2
2θ 59.69, d 1.549, I 17.9
2θ 73.96, d 1.282, I 11.6


- Number 3 is which compound?
  NdPt3


- Which formula does entry 5 have?
  NdSiPt